The following is a calculated X-ray powder pattern of NaMgPb. It was derived from the PBE geometry in Alexandria, using λ = 1.5418 Å (Cu Kα).
Peak positions follow from Bragg's law for the DFT cell and can differ from measured ones.

Structural model:
Unit cell a=5.1171 b=5.1171 c=3.7143 alpha=90.00 beta=90.00 gamma=120.00
Space group P3m1 (No. 156)
One atom of each set of equivalent atoms:
Na 0.0000 0.0000 0.0000 (multiplicity 1)
Mg 0.3333 0.6667 0.4990 (multiplicity 1)
Pb 0.6667 0.3333 0.5018 (multiplicity 1)

Principal peaks in the range 2θ from 10° to 80°, by angle:
2θ 20.04, rel. 100.0
2θ 23.96, rel. 29.3
2θ 31.43, rel. 92.7
2θ 35.07, rel. 52.0
2θ 40.72, rel. 17.3
2θ 42.92, rel. 39.3
2θ 47.80, rel. 29.6
2θ 53.50, rel. 16.1
2θ 54.81, rel. 15.0
2θ 60.65, rel. 29.3
2θ 61.72, rel. 20.4
2θ 76.60, rel. 11.9



The following is a calculated X-ray powder pattern of Na2Mg12Pb7. It was derived from the PBE geometry in Alexandria, using λ = 1.5418 Å (Cu Kα).
Peak positions follow from Bragg's law for the DFT cell and can differ from measured ones.

Structural model:
Unit cell a=12.0045 b=12.0045 c=4.4900 alpha=90.00 beta=90.00 gamma=120.00
Space group P-6 (No. 174)
One atom of each set of equivalent atoms:
Na 0.0000 0.0000 0.0000 (multiplicity 1)
Na 0.3333 0.6667 0.5000 (multiplicity 1)
Mg 0.0477 0.2864 0.5000 (multiplicity 3)
Mg 0.0993 0.7152 0.0000 (multiplicity 3)
Mg 0.3876 0.1726 0.0000 (multiplicity 3)
Mg 0.5285 0.4210 0.5000 (multiplicity 3)
Pb 0.0836 0.4642 0.0000 (multiplicity 3)
Pb 0.2405 0.2020 0.5000 (multiplicity 3)
Pb 0.6667 0.3333 0.0000 (multiplicity 1)

Principal peaks in the range 2θ from 10° to 80°, by angle:
2θ 21.56, rel. 35.7
2θ 22.63, rel. 100.0
2θ 24.76, rel. 31.0
2θ 26.23, rel. 24.7
2θ 30.22, rel. 32.2
2θ 37.05, rel. 30.9
2θ 39.73, rel. 36.6
2θ 40.13, rel. 31.1
2θ 42.94, rel. 19.7
2θ 46.59, rel. 31.4
2θ 57.76, rel. 31.6
2θ 76.98, rel. 17.0



The following is a calculated X-ray powder pattern of NaMg4Pb4. It was derived from the PBE geometry in Alexandria, using λ = 1.5418 Å (Cu Kα).
Peak positions follow from Bragg's law for the DFT cell and can differ from measured ones.

Structural model:
Unit cell a=7.291 b=7.291 c=9.820 alpha=90.00 beta=90.00 gamma=90.00
Space group P4_2/nmc (No. 137, origin choice 2)
One atom of each set of equivalent atoms:
Na 0.250 0.750 0.250 (multiplicity 2)
Mg 0.028 0.250 0.168 (multiplicity 8)
Pb 0.010 0.250 0.472 (multiplicity 8)

Principal peaks in the range 2θ from 10° to 80°, by angle:
2θ 18.07, rel. 49.1
2θ 26.07, rel. 100.0
2θ 34.80, rel. 33.3
2θ 36.91, rel. 47.4
2θ 39.48, rel. 33.1
2θ 50.04, rel. 13.1
2θ 51.40, rel. 8.9
2θ 53.64, rel. 12.1
2θ 57.29, rel. 23.5
2θ 63.59, rel. 8.8
2θ 63.78, rel. 18.5
2θ 73.48, rel. 7.9



The following is a calculated X-ray powder pattern of Na2PmMgPb2. It was derived from the PBE geometry in Alexandria, using λ = 1.5418 Å (Cu Kα).
Peak positions follow from Bragg's law for the DFT cell and can differ from measured ones.

Structural model:
Unit cell a=4.965 b=9.300 c=7.656 alpha=90.00 beta=90.00 gamma=90.00
Space group Pmc2_1 (No. 26)
One atom of each set of equivalent atoms:
Na 0.000 0.070 0.000 (multiplicity 2)
Na 0.500 0.163 0.301 (multiplicity 2)
Pm 0.500 0.465 0.965 (multiplicity 2)
Mg 0.000 0.311 0.633 (multiplicity 2)
Pb 0.000 0.380 0.240 (multiplicity 2)
Pb 0.500 0.171 0.728 (multiplicity 2)

Principal peaks in the range 2θ from 10° to 80°, by angle:
2θ 22.37, rel. 69.9
2θ 23.24, rel. 20.1
2θ 23.40, rel. 93.1
2θ 30.24, rel. 20.8
2θ 31.03, rel. 100.0
2θ 34.10, rel. 57.0
2θ 35.34, rel. 23.1
2θ 36.17, rel. 49.4
2θ 40.31, rel. 23.1
2θ 40.93, rel. 25.6
2θ 42.95, rel. 31.7
2θ 55.27, rel. 18.7



The following is a calculated X-ray powder pattern of Na2MgTl5Pb. It was derived from the PBE geometry in Alexandria, using λ = 1.5418 Å (Cu Kα).
Peak positions follow from Bragg's law for the DFT cell and can differ from measured ones.

Structural model:
Unit cell a=4.740 b=14.807 c=14.648 alpha=90.00 beta=90.00 gamma=90.00
Space group Cmc2_1 (No. 36)
One atom of each set of equivalent atoms:
Na 0.000 0.081 0.000 (multiplicity 4)
Na 0.000 0.083 0.321 (multiplicity 4)
Mg 0.000 0.237 0.501 (multiplicity 4)
Tl 0.000 0.083 0.666 (multiplicity 4)
Tl 0.000 0.250 0.157 (multiplicity 4)
Tl 0.000 0.251 0.837 (multiplicity 4)
Tl 0.000 0.407 0.342 (multiplicity 4)
Tl 0.000 0.412 0.656 (multiplicity 4)
Pb 0.000 0.412 0.994 (multiplicity 4)

Principal peaks in the range 2θ from 10° to 80°, by angle:
2θ 26.78, rel. 10.5
2θ 31.96, rel. 100.0
2θ 36.41, rel. 17.5
2θ 36.82, rel. 16.5
2θ 37.96, rel. 17.8
2θ 52.74, rel. 11.5
2θ 53.61, rel. 11.9
2θ 53.92, rel. 11.2
2θ 62.74, rel. 14.9
2θ 63.28, rel. 12.7
2θ 64.83, rel. 13.7
2θ 66.81, rel. 11.4



The following is a calculated X-ray powder pattern of NaTmMg2Pb2. It was derived from the PBE geometry in Alexandria, using λ = 1.5418 Å (Cu Kα).
Peak positions follow from Bragg's law for the DFT cell and can differ from measured ones.

Structural model:
Unit cell a=4.9678 b=4.9678 c=26.1455 alpha=90.00 beta=90.00 gamma=120.00
Space group R-3m (No. 166, hexagonal axes)
One atom of each set of equivalent atoms:
Na 0.0000 0.0000 0.0000 (multiplicity 3)
Tm 0.0000 0.0000 0.5000 (multiplicity 3)
Mg 0.0000 0.0000 0.1212 (multiplicity 6)
Pb 0.0000 0.0000 0.2441 (multiplicity 6)

Principal peaks in the range 2θ from 10° to 80°, by angle:
2θ 10.15, rel. 42.2
2θ 21.75, rel. 20.2
2θ 24.78, rel. 100.0
2θ 34.46, rel. 59.1
2θ 36.16, rel. 55.0
2θ 37.66, rel. 11.4
2θ 44.33, rel. 22.0
2θ 50.81, rel. 19.9
2θ 56.15, rel. 19.5
2θ 58.49, rel. 19.6
2θ 63.95, rel. 20.0
2θ 65.04, rel. 10.1